Structure and calculated PXRD pattern of NaSmV4O12 (a cell relaxed with GGA+U; Cu Kα (weighted mean of Kα1 and Kα2)).
Kinematic intensities with the Lorentz-polarization factor, no thermal factor.

Atomic structure:
abc: 5.3100 5.3100 7.5194
angles: 90.00 90.00 90.00
Space group P4/mmm (No. 123)
One atom of each set of equivalent atoms:
Na 0.0000 0.0000 0.0000 x1
Sm 0.5000 0.5000 0.5000 x1
V 0.0000 0.5000 0.2455 x4
O 0.0000 0.5000 0.0000 x2
O 0.0000 0.5000 0.5000 x2
O 0.2551 0.2551 0.2572 x8

Peak list (6 most intense, 5° ≤ 2θ ≤ 70°, sorted by position)
| index | two_theta | d_spacing | I/Imax |
| --- | --- | --- | --- |
| 0 0 1 | 11.77 | 7.519 | 33 |
| 1 0 1 | 20.48 | 4.338 | 75 |
| 2 0 0 | 33.74 | 2.656 | 100 |
| 2 1 1 | 39.79 | 2.265 | 40 |
| 2 2 0 | 48.47 | 1.878 | 56 |
| 2 0 4 | 60.36 | 1.534 | 37 |

Structure and calculated PXRD pattern of Na4Sm3VO8 (a cell relaxed with GGA+U; Cu Kα (weighted mean of Kα1 and Kα2)).
Kinematic intensities with the Lorentz-polarization factor, no thermal factor.

Atomic structure:
abc: 11.8705 6.8340 6.8470
angles: 90.00 125.16 90.00
Space group C2/m (No. 12)
One atom of each set of equivalent atoms:
Na 0.0000 0.0000 0.0000 x2
Na 0.0000 0.5000 0.0000 x2
Na 0.2500 0.2500 0.5000 x4
Sm 0.0000 0.0000 0.5000 x2
Sm 0.2500 0.2500 0.0000 x4
V 0.0000 0.5000 0.5000 x2
O 0.0076 0.2721 0.7197 x8
O 0.2367 0.5000 0.7531 x4
O 0.2388 0.0000 0.7594 x4

Peak list (6 most intense, 5° ≤ 2θ ≤ 70°, sorted by position)
| index | two_theta | d_spacing | I/Imax |
| --- | --- | --- | --- |
| 2 0 -1 | 15.85 | 5.592 | 100 |
| 0 2 1 | 30.65 | 2.916 | 31 |
| 4 0 -2 | 32.02 | 2.796 | 75 |
| 4 0 0 | 37.05 | 2.426 | 30 |
| 2 2 -2 | 37.18 | 2.418 | 59 |
| 2 2 2 | 53.50 | 1.713 | 47 |

Structure and calculated PXRD pattern of NaSm2VO5 (a cell relaxed with GGA+U; Cu Kα (weighted mean of Kα1 and Kα2)).
Kinematic intensities with the Lorentz-polarization factor, no thermal factor.

Atomic structure:
abc: 6.7204 6.7204 5.6875
angles: 90.00 90.00 90.00
Space group P4/mbm (No. 127)
One atom of each set of equivalent atoms:
Na 0.0000 0.0000 0.0000 x2
Sm 0.1776 0.3224 0.5000 x4
V 0.0000 0.5000 0.0000 x2
O 0.0000 0.0000 0.5000 x2
O 0.1335 0.6335 0.2429 x8

Peak list (6 most intense, 5° ≤ 2θ ≤ 70°, sorted by position)
| index | two_theta | d_spacing | I/Imax |
| --- | --- | --- | --- |
| 0 0 1 | 15.58 | 5.688 | 100 |
| 2 1 0 | 29.73 | 3.005 | 39 |
| 2 0 1 | 30.91 | 2.893 | 80 |
| 0 0 2 | 31.46 | 2.844 | 34 |
| 2 1 1 | 33.73 | 2.657 | 100 |
| 2 1 2 | 43.83 | 2.066 | 70 |